The following is a simulated powder XRD pattern of Pr3Al2Ag. It was derived from DFT lattice parameters and positions (GGA-PBE), using Cu Ka.

```
Pr3Al2Ag
1.0
3.625 0.000 0.000
0.000 3.625 0.000
0.000 0.000 12.153
Pr Al Ag
3 2 1
Cartesian
0.000 0.000 0.000
0.000 0.000 4.012
0.000 0.000 8.141
1.812 1.812 2.065
1.812 1.812 10.089
1.812 1.812 6.077
```

The 8 most intense peaks (2θ = 10–90°), sorted by position:
Position (°2θ)	I_rel	index
21.9	13	0 0 3
24.6	20	1 0 0
33.2	100	1 0 3
35.0	43	1 1 0
50.4	15	2 0 0
58.0	20	1 1 6
61.6	33	2 1 3
75.1	13	1 0 9